Calculated powder diffractogram of Rb3CrO3 for CuKα, from DFT lattice parameters and positions (PBE+U).

Peak list (6 most intense, 2θ from 10° to 90°, most intense first)
Position (°2θ)  Rel. int.  (hkl)
29.59  100  1 2 1
30.16  80  2 1 -2
34.11  74  0 1 4
29.38  58  2 0 2
28.54  41  1 1 -3
38.14  25  3 1 -1

Structural model:
Cell: 7.600 6.955 11.395 Å, 90.00 94.63 90.00°
Fractional positions:
Rb (0.043, 0.121, 0.163)
Rb (0.043, 0.379, 0.663)
Rb (0.344, 0.180, 0.927)
Rb (0.344, 0.320, 0.427)
Rb (0.382, 0.687, 0.812)
Rb (0.382, 0.813, 0.312)
Rb (0.618, 0.187, 0.688)
Rb (0.618, 0.313, 0.188)
Rb (0.656, 0.680, 0.573)
Rb (0.656, 0.820, 0.073)
Rb (0.957, 0.621, 0.337)
Rb (0.957, 0.879, 0.837)
Cr (0.158, 0.590, 0.067)
Cr (0.158, 0.910, 0.567)
Cr (0.842, 0.090, 0.433)
Cr (0.842, 0.410, 0.933)
O (0.099, 0.006, 0.407)
O (0.099, 0.494, 0.907)
O (0.267, 0.043, 0.695)
O (0.267, 0.457, 0.195)
O (0.267, 0.672, 0.539)
O (0.267, 0.828, 0.039)
O (0.733, 0.172, 0.961)
O (0.733, 0.328, 0.461)
O (0.733, 0.543, 0.805)
O (0.733, 0.957, 0.305)
O (0.901, 0.506, 0.093)
O (0.901, 0.994, 0.593)